Diffraction record for NaLiV2O6. The powder diffraction line list is theoretical, not measured: it uses a cell relaxed with PBE+U and Cu Kα X-rays.
Intensities are scaled so that the largest is 100.

Top 10 peaks for 10 to 90 degrees two-theta, most intense first:
- (2 2 -1), 27.49°, I = 100
- (0 2 1), 25.05°, I = 100
- (2 0 0), 18.16°, I = 63
- (0 0 2), 32.27°, I = 49
- (3 1 -1), 28.13°, I = 42
- (3 1 0), 29.07°, I = 33
- (0 4 1), 42.30°, I = 30
- (2 2 0), 26.52°, I = 27
- (3 1 1), 37.90°, I = 26
- (2 0 -2), 30.95°, I = 24

Atomic structure:
Cell lengths 10.4423, 9.2602, 5.9290 Å; angles 90.00, 110.67, 90.00 degrees
Space group C2/c (No. 15)
One atom of each set of equivalent atoms:
Na  0.0000  0.2198  0.2500 (multiplicity 4)
Li  0.0000  0.4089  0.7500 (multiplicity 4)
V  0.2108  0.0911  0.7520 (multiplicity 8)
O  0.1167  0.4070  0.1430 (multiplicity 8)
O  0.1448  0.0071  0.4551 (multiplicity 8)
O  0.1467  0.2585  0.7064 (multiplicity 8)